[1]
Diffraction record for Ce5As2C2. The X-ray powder pattern is theoretical, not measured: it uses a DFT-relaxed cell (GGA-PBE, Alexandria) and copper Kα.
Kinematic intensities with the Lorentz-polarization factor, no thermal factor.

Structure:
a = 17.897 Å, b = 7.644 Å, c = 6.332 Å
α = 90.00°, β = 90.00°, γ = 90.00°
Space group Ima2 (No. 46)
One atom of each set of equivalent atoms:
1 Ce 0.025 0.250 0.000 (multiplicity 8)
2 Ce 0.141 0.572 0.252 (multiplicity 8)
3 Ce 0.250 0.118 0.285 (multiplicity 4)
4 As 0.103 0.552 0.748 (multiplicity 8)
5 C 0.000 0.000 0.748 (multiplicity 4)
6 C 0.250 0.090 0.662 (multiplicity 4)

Peak list (10 most intense, 10° ≤ 2θ ≤ 80°, by angle)
Position (°2θ), intensity, (hkl)
27.52, 100, 5 1 0
27.72, 66, 1 2 1
29.94, 74, 2 0 2
30.77, 90, 4 2 0
34.14, 66, 3 1 2
34.71, 69, 4 0 2
35.27, 74, 6 1 1
36.87, 94, 0 2 2
38.42, 58, 3 3 0
52.73, 62, 5 3 2

---

[2]
Diffraction record for Hf3ThV8. The X-ray powder pattern is theoretical, not measured: it uses a DFT-relaxed cell (GGA-PBE, Alexandria) and copper Kα.
Kinematic intensities with the Lorentz-polarization factor, no thermal factor.

Structure:
a = 5.2582 Å, b = 5.2582 Å, c = 8.4312 Å
α = 90.00°, β = 90.00°, γ = 120.00°
Space group P3m1 (No. 156)
One atom of each set of equivalent atoms:
1 Hf 0.0000 0.0000 0.0000 (multiplicity 1)
2 Hf 0.0000 0.0000 0.3710 (multiplicity 1)
3 Hf 0.3333 0.6667 0.8821 (multiplicity 1)
4 Th 0.3333 0.6667 0.5024 (multiplicity 1)
5 V 0.0012 0.5006 0.1819 (multiplicity 3)
6 V 0.3283 0.1642 0.6945 (multiplicity 3)
7 V 0.6667 0.3333 0.4354 (multiplicity 1)
8 V 0.6667 0.3333 0.9386 (multiplicity 1)

Peak list (10 most intense, 10° ≤ 2θ ≤ 80°, by angle)
Position (°2θ), intensity, (hkl)
19.49, 27, 1 0 0
22.19, 21, 0 1 1
28.86, 21, 0 1 2
34.10, 78, 1 1 0
37.61, 100, 1 0 3
40.43, 92, 1 1 2
41.06, 43, 2 0 1
63.37, 43, 2 1 3
65.34, 22, 0 3 2
69.35, 25, 0 2 5

---

[3]
Diffraction record for LaCrCd4. The X-ray powder pattern is theoretical, not measured: it uses a DFT-relaxed cell (GGA-PBE, Alexandria) and copper Kα.
Kinematic intensities with the Lorentz-polarization factor, no thermal factor.

Structure:
a = 8.282 Å, b = 8.282 Å, c = 8.282 Å
α = 90.00°, β = 90.00°, γ = 90.00°
Space group F-43m (No. 216)
One atom of each set of equivalent atoms:
1 La 0.000 0.000 0.000 (multiplicity 4)
2 Cr 0.250 0.250 0.250 (multiplicity 4)
3 Cd 0.125 0.125 0.625 (multiplicity 16)

Peak list (10 most intense, 10° ≤ 2θ ≤ 80°, by angle)
Position (°2θ), intensity, (hkl)
18.56, 15, 1 1 1
30.53, 21, 2 2 0
35.96, 100, 3 1 1
37.62, 47, 2 2 2
43.72, 8, 4 0 0
54.26, 8, 4 2 2
57.85, 32, 5 1 1
63.54, 28, 4 4 0
75.23, 11, 5 3 3
76.26, 17, 6 2 2

---

[4]
Diffraction record for Rb2HfIBr5. The X-ray powder pattern is theoretical, not measured: it uses a DFT-relaxed cell (GGA-PBE, Alexandria) and copper Kα.
Kinematic intensities with the Lorentz-polarization factor, no thermal factor.

Structure:
a = 7.806 Å, b = 7.806 Å, c = 11.261 Å
α = 90.00°, β = 90.00°, γ = 90.00°
Space group I4mm (No. 107)
One atom of each set of equivalent atoms:
1 Rb 0.000 0.500 0.000 (multiplicity 4)
2 Hf 0.000 0.000 0.248 (multiplicity 2)
3 I 0.000 0.000 0.505 (multiplicity 2)
4 Br 0.000 0.000 0.015 (multiplicity 2)
5 Br 0.237 0.237 0.252 (multiplicity 8)

Peak list (10 most intense, 10° ≤ 2θ ≤ 80°, by angle)
Position (°2θ), intensity, (hkl)
13.80, 80, 1 0 1
16.06, 29, 1 1 0
26.74, 19, 2 1 1
27.81, 100, 2 0 2
31.78, 48, 0 0 4
32.44, 90, 2 2 0
46.06, 66, 2 2 4
46.54, 32, 4 0 0
55.09, 26, 4 2 2
57.46, 33, 4 0 4

---

[5]
Diffraction record for Ac8Pr6Mg. The X-ray powder pattern is theoretical, not measured: it uses a DFT-relaxed cell (GGA-PBE, Alexandria) and copper Kα.
Kinematic intensities with the Lorentz-polarization factor, no thermal factor.

Structure:
a = 10.0646 Å, b = 10.0646 Å, c = 7.2877 Å
α = 90.00°, β = 90.00°, γ = 120.00°
Space group P-3 (No. 147)
One atom of each set of equivalent atoms:
1 Ac 0.0383 0.3452 0.1191 (multiplicity 6)
2 Ac 0.3333 0.6667 0.7496 (multiplicity 2)
3 Pr 0.0478 0.6740 0.3970 (multiplicity 6)
4 Mg 0.0000 0.0000 0.5000 (multiplicity 1)

Peak list (10 most intense, 10° ≤ 2θ ≤ 80°, by angle)
Position (°2θ), intensity, (hkl)
17.62, 17, 1 1 0
23.79, 30, 2 0 1
29.76, 33, 3 -1 1
30.28, 100, 1 1 2
30.77, 74, 3 0 0
43.72, 26, 4 -2 2
47.13, 20, 2 3 1
53.48, 26, 2 -1 4
54.41, 20, 4 1 2
60.49, 11, 6 -1 1

---

[6]
Diffraction record for Mg7Si8O24. The X-ray powder pattern is theoretical, not measured: it uses a DFT-relaxed cell (GGA-PBE, Alexandria) and copper Kα.
Kinematic intensities with the Lorentz-polarization factor, no thermal factor.

Structure:
a = 9.711 Å, b = 18.183 Å, c = 5.362 Å
α = 90.00°, β = 99.65°, γ = 90.00°
Space group C2/m (No. 12)
One atom of each set of equivalent atoms:
1 Mg 0.000 0.000 0.000 (multiplicity 2)
2 Mg 0.000 0.094 0.500 (multiplicity 4)
3 Mg 0.000 0.180 0.000 (multiplicity 4)
4 Mg 0.000 0.262 0.500 (multiplicity 4)
5 Si 0.207 0.330 0.248 (multiplicity 8)
6 Si 0.219 0.415 0.756 (multiplicity 8)
7 O 0.088 0.000 0.669 (multiplicity 4)
8 O 0.111 0.089 0.196 (multiplicity 8)
9 O 0.117 0.255 0.221 (multiplicity 8)
10 O 0.121 0.177 0.703 (multiplicity 8)
11 O 0.154 0.365 0.506 (multiplicity 8)
12 O 0.160 0.383 0.001 (multiplicity 8)
13 O 0.166 0.500 0.706 (multiplicity 4)

Peak list (10 most intense, 10° ≤ 2θ ≤ 80°, by angle)
Position (°2θ), intensity, (hkl)
10.44, 76, 1 1 0
19.53, 31, 0 4 0
23.07, 38, 1 3 -1
25.28, 62, 1 3 1
27.06, 44, 2 4 0
28.39, 80, 3 1 0
32.14, 100, 1 5 1
35.95, 66, 2 0 -2
40.50, 51, 2 6 1
53.91, 37, 4 6 1